Record 1
This entry pairs a crystal structure of SrDyNi4O12 with its calculated X-ray powder pattern. Radiation: Cu Kα X-rays. Structure: a crystal structure in the Materials Project, relaxed with PBE+U.
Neutral-atom scattering factors, no anomalous dispersion.

Principal peaks in the range 2θ = 10–90°, low angle first:
| d/Å | I_rel |
| --- | --- |
| 4.388 | 100 |
| 2.698 | 44 |
| 2.689 | 46 |
| 2.675 | 45 |
| 2.278 | 18 |
| 1.918 | 19 |
| 1.898 | 19 |
| 1.885 | 19 |
| 1.559 | 18 |
| 1.551 | 18 |

a b c (Å): 5.3780 5.3780 7.5939
angles (deg): 90.00 90.00 90.98
Fractional coordinates of all 18 atoms:
Sr1 0.0000 0.0000 0.0000
Dy1 0.5000 0.5000 0.5000
Ni1 0.0000 0.5000 0.2497
Ni2 0.0000 0.5000 0.7503
Ni3 0.5000 0.0000 0.2497
Ni4 0.5000 0.0000 0.7503
O1 0.0000 0.5000 0.0000
O2 0.0000 0.5000 0.5000
O3 0.2532 0.2532 0.2657
O4 0.2532 0.2532 0.7343
O5 0.2767 0.7233 0.2708
O6 0.2767 0.7233 0.7292
O7 0.5000 0.0000 0.0000
O8 0.5000 0.0000 0.5000
O9 0.7233 0.2767 0.2708
O10 0.7233 0.2767 0.7292
O11 0.7468 0.7468 0.2657
O12 0.7468 0.7468 0.7343

***

Record 2
This entry pairs a crystal structure of SrDyV4O12 with its calculated X-ray powder pattern. Radiation: Cu Kα X-rays. Structure: a crystal structure in the Materials Project, relaxed with PBE+U.
Neutral-atom scattering factors, no anomalous dispersion.

Principal peaks in the range 2θ = 10–90°, low angle first:
| d/Å | I_rel |
| --- | --- |
| 4.397 | 100 |
| 2.736 | 36 |
| 2.720 | 35 |
| 2.625 | 33 |
| 2.388 | 18 |
| 2.263 | 17 |
| 2.245 | 19 |
| 2.011 | 15 |
| 1.596 | 15 |
| 1.539 | 18 |

a b c (Å): 7.3850 5.4871 5.4871
angles (deg): 85.72 90.00 90.00
Fractional coordinates of all 18 atoms:
Sr1 0.0000 0.0000 0.0000
Dy1 0.5000 0.5297 0.5297
V1 0.2516 0.0198 0.5192
V2 0.2516 0.5192 0.0198
V3 0.7484 0.0198 0.5192
V4 0.7484 0.5192 0.0198
O1 0.0000 0.0195 0.4634
O2 0.0000 0.4634 0.0195
O3 0.2295 0.7099 0.7099
O4 0.2611 0.2066 0.7537
O5 0.2611 0.7537 0.2066
O6 0.2920 0.2720 0.2720
O7 0.5000 0.5040 0.9347
O8 0.5000 0.9347 0.5040
O9 0.7080 0.2720 0.2720
O10 0.7389 0.2066 0.7537
O11 0.7389 0.7537 0.2066
O12 0.7705 0.7099 0.7099

***

Record 3
This entry pairs a crystal structure of Sr2DyWO6 with its calculated X-ray powder pattern. Radiation: Cu Kα X-rays. Structure: a crystal structure in the Materials Project, relaxed with PBE+U.
Neutral-atom scattering factors, no anomalous dispersion.

Principal peaks in the range 2θ = 10–90°, low angle first:
| d/Å | I_rel |
| --- | --- |
| 4.202 | 20 |
| 2.971 | 100 |
| 2.101 | 30 |
| 1.879 | 9 |
| 1.715 | 41 |
| 1.486 | 19 |
| 1.401 | 4 |
| 1.329 | 18 |
| 1.213 | 6 |
| 1.123 | 22 |

a b c (Å): 5.9423 5.9423 5.9423
angles (deg): 60.00 60.00 60.00
Fractional coordinates of all 10 atoms:
Sr1 0.2500 0.2500 0.2500
Sr2 0.7500 0.7500 0.7500
Dy1 0.0000 0.0000 0.0000
W1 0.5000 0.5000 0.5000
O1 0.2631 0.2631 0.7369
O2 0.2631 0.7369 0.2631
O3 0.2631 0.7369 0.7369
O4 0.7369 0.2631 0.2631
O5 0.7369 0.2631 0.7369
O6 0.7369 0.7369 0.2631

***

Record 4
This entry pairs a crystal structure of Dy2V2O7 with its calculated X-ray powder pattern. Radiation: Cu Kα X-rays. Structure: a crystal structure in the Materials Project, relaxed with PBE+U.
Neutral-atom scattering factors, no anomalous dispersion.

Principal peaks in the range 2θ = 10–90°, low angle first:
| d/Å | I_rel |
| --- | --- |
| 5.841 | 29 |
| 3.050 | 16 |
| 2.920 | 100 |
| 2.529 | 29 |
| 2.321 | 20 |
| 1.947 | 10 |
| 1.788 | 48 |
| 1.525 | 41 |
| 1.160 | 17 |
| 1.131 | 13 |

a b c (Å): 7.1532 7.1532 7.1532
angles (deg): 60.00 60.00 60.00
Fractional coordinates of all 22 atoms:
Dy1 0.0000 0.0000 0.0000
Dy2 0.0000 0.0000 0.5000
Dy3 0.0000 0.5000 0.0000
Dy4 0.5000 0.0000 0.0000
V1 0.0000 0.5000 0.5000
V2 0.5000 0.0000 0.5000
V3 0.5000 0.5000 0.0000
V4 0.5000 0.5000 0.5000
O1 0.1250 0.1250 0.1250
O2 0.1684 0.1684 0.5816
O3 0.1684 0.5816 0.1684
O4 0.1684 0.5816 0.5816
O5 0.4184 0.4184 0.8316
O6 0.4184 0.8316 0.4184
O7 0.4184 0.8316 0.8316
O8 0.5816 0.1684 0.1684
O9 0.5816 0.1684 0.5816
O10 0.5816 0.5816 0.1684
O11 0.8316 0.4184 0.4184
O12 0.8316 0.4184 0.8316
O13 0.8316 0.8316 0.4184
O14 0.8750 0.8750 0.8750

***

Record 5
This entry pairs a crystal structure of DyVO4 with its calculated X-ray powder pattern. Radiation: Cu Kα X-rays. Structure: a crystal structure in the Materials Project, relaxed with PBE+U.
Neutral-atom scattering factors, no anomalous dispersion.

Principal peaks in the range 2θ = 10–90°, low angle first:
| d/Å | I_rel |
| --- | --- |
| 4.640 | 30 |
| 3.036 | 100 |
| 2.832 | 14 |
| 2.543 | 18 |
| 2.230 | 16 |
| 1.892 | 27 |
| 1.798 | 12 |
| 1.672 | 16 |
| 1.547 | 28 |
| 1.224 | 11 |

a b c (Å): 6.7102 6.7102 6.7102
angles (deg): 135.45 135.45 64.83
Fractional coordinates of all 12 atoms:
Dy1 0.3750 0.1250 0.2500
Dy2 0.6250 0.8750 0.7500
V1 0.1250 0.3750 0.7500
V2 0.8750 0.6250 0.2500
O1 0.0591 0.7123 0.8601
O2 0.2123 0.8522 0.6532
O3 0.3010 0.4409 0.1532
O4 0.3522 0.1990 0.6399
O5 0.6478 0.8010 0.3601
O6 0.6990 0.5591 0.8468
O7 0.7877 0.1478 0.3468
O8 0.9409 0.2877 0.1399

***

Record 6
This entry pairs a crystal structure of DyVO3 with its calculated X-ray powder pattern. Radiation: Cu Kα X-rays. Structure: a crystal structure in the Materials Project, relaxed with PBE+U.
Neutral-atom scattering factors, no anomalous dispersion.

Principal peaks in the range 2θ = 10–90°, low angle first:
| d/Å | I_rel |
| --- | --- |
| 3.908 | 27 |
| 3.818 | 18 |
| 3.479 | 27 |
| 2.872 | 18 |
| 2.731 | 100 |
| 2.688 | 17 |
| 2.667 | 24 |
| 1.893 | 17 |
| 1.754 | 24 |
| 1.552 | 40 |

a b c (Å): 5.7431 7.6359 5.3342
angles (deg): 90.00 90.00 90.00
Fractional coordinates of all 20 atoms:
Dy1 0.0704 0.2500 0.0202
Dy2 0.4296 0.7500 0.5202
Dy3 0.5704 0.2500 0.4798
Dy4 0.9296 0.7500 0.9798
V1 0.0000 0.0000 0.5000
V2 0.0000 0.5000 0.5000
V3 0.5000 0.0000 0.0000
V4 0.5000 0.5000 0.0000
O1 0.0462 0.7500 0.3812
O2 0.1891 0.5594 0.8052
O3 0.1891 0.9406 0.8052
O4 0.3109 0.0594 0.3052
O5 0.3109 0.4406 0.3052
O6 0.4538 0.2500 0.8812
O7 0.5462 0.7500 0.1188
O8 0.6891 0.5594 0.6948
O9 0.6891 0.9406 0.6948
O10 0.8109 0.0594 0.1948
O11 0.8109 0.4406 0.1948
O12 0.9538 0.2500 0.6188

***

Record 7
This entry pairs a crystal structure of Dy2V2O7 with its calculated X-ray powder pattern. Radiation: Cu Kα X-rays. Structure: a crystal structure in the Materials Project, relaxed with PBE+U.
Neutral-atom scattering factors, no anomalous dispersion.

Principal peaks in the range 2θ = 10–90°, low angle first:
| d/Å | I_rel |
| --- | --- |
| 5.437 | 38 |
| 5.147 | 56 |
| 3.496 | 100 |
| 3.478 | 39 |
| 3.059 | 52 |
| 2.863 | 39 |
| 2.718 | 31 |
| 2.573 | 40 |
| 2.420 | 28 |
| 1.841 | 29 |

a b c (Å): 5.8358 5.8358 5.2411
angles (deg): 96.26 96.26 109.43
Fractional coordinates of all 11 atoms:
Dy1 0.1879 0.8121 0.0000
Dy2 0.8121 0.1879 0.0000
V1 0.2573 0.2573 0.5995
V2 0.7427 0.7427 0.4005
O1 0.0818 0.0818 0.2780
O2 0.1090 0.4318 0.7938
O3 0.4318 0.1090 0.7938
O4 0.5000 0.5000 0.5000
O5 0.5682 0.8910 0.2062
O6 0.8910 0.5682 0.2062
O7 0.9182 0.9182 0.7220

***

Record 8
This entry pairs a crystal structure of DyVO4 with its calculated X-ray powder pattern. Radiation: Cu Kα X-rays. Structure: a crystal structure in the Materials Project, relaxed with PBE+U.
Neutral-atom scattering factors, no anomalous dispersion.

Principal peaks in the range 2θ = 10–90°, low angle first:
| d/Å | I_rel |
| --- | --- |
| 4.768 | 42 |
| 3.606 | 100 |
| 2.876 | 14 |
| 2.697 | 71 |
| 2.550 | 22 |
| 2.249 | 15 |
| 1.853 | 59 |
| 1.803 | 16 |
| 1.613 | 14 |
| 1.499 | 17 |

a b c (Å): 6.0086 6.0086 6.0086
angles (deg): 106.24 106.24 116.15
Fractional coordinates of all 12 atoms:
Dy1 0.3750 0.6250 0.7500
Dy2 0.6250 0.3750 0.2500
V1 0.1250 0.8750 0.2500
V2 0.8750 0.1250 0.7500
O1 0.1337 0.6989 0.4348
O2 0.2358 0.3011 0.9348
O3 0.3011 0.2358 0.4348
O4 0.3011 0.8663 0.0652
O5 0.6989 0.1337 0.9348
O6 0.6989 0.7642 0.5652
O7 0.7642 0.6989 0.0652
O8 0.8663 0.3011 0.5652

***

Record 9
This entry pairs a crystal structure of DyWO4 with its calculated X-ray powder pattern. Radiation: Cu Kα X-rays. Structure: a crystal structure in the Materials Project, relaxed with PBE+U.
Neutral-atom scattering factors, no anomalous dispersion.

Principal peaks in the range 2θ = 10–90°, low angle first:
| d/Å | I_rel |
| --- | --- |
| 3.097 | 100 |
| 2.779 | 15 |
| 2.638 | 23 |
| 1.913 | 30 |
| 1.865 | 15 |
| 1.659 | 17 |
| 1.598 | 29 |
| 1.549 | 12 |
| 1.240 | 12 |
| 1.229 | 7 |

a b c (Å): 6.6930 6.6930 6.6930
angles (deg): 133.58 133.58 67.74
Fractional coordinates of all 12 atoms:
Dy1 0.3750 0.1250 0.2500
Dy2 0.6250 0.8750 0.7500
W1 0.1250 0.3750 0.7500
W2 0.8750 0.6250 0.2500
O1 0.0297 0.7174 0.8267
O2 0.2174 0.8907 0.6878
O3 0.2970 0.4703 0.1878
O4 0.3907 0.2030 0.6733
O5 0.6093 0.7970 0.3267
O6 0.7030 0.5297 0.8122
O7 0.7826 0.1093 0.3122
O8 0.9703 0.2826 0.1733

***

Record 10
This entry pairs a crystal structure of DyWO4 with its calculated X-ray powder pattern. Radiation: Cu Kα X-rays. Structure: a crystal structure in the Materials Project, relaxed with PBE+U.
Neutral-atom scattering factors, no anomalous dispersion.

Principal peaks in the range 2θ = 10–90°, low angle first:
| d/Å | I_rel |
| --- | --- |
| 3.217 | 100 |
| 2.954 | 80 |
| 2.779 | 20 |
| 2.644 | 25 |
| 2.582 | 20 |
| 1.973 | 17 |
| 1.916 | 21 |
| 1.892 | 21 |
| 1.744 | 20 |
| 1.656 | 17 |

a b c (Å): 5.2038 5.5584 5.3292
angles (deg): 90.00 97.07 90.00
Fractional coordinates of all 12 atoms:
Dy1 0.0000 0.2300 0.2500
Dy2 0.0000 0.7700 0.7500
W1 0.5000 0.3117 0.7500
W2 0.5000 0.6883 0.2500
O1 0.2410 0.0898 0.6084
O2 0.2410 0.9102 0.1084
O3 0.2686 0.4316 0.9984
O4 0.2686 0.5684 0.4984
O5 0.7314 0.4316 0.5016
O6 0.7314 0.5684 0.0016
O7 0.7590 0.0898 0.8916
O8 0.7590 0.9102 0.3916

***

Record 11
This entry pairs a crystal structure of DyWO5 with its calculated X-ray powder pattern. Radiation: Cu Kα X-rays. Structure: a crystal structure in the Materials Project, relaxed with PBE+U.
Neutral-atom scattering factors, no anomalous dispersion.

Principal peaks in the range 2θ = 10–90°, low angle first:
| d/Å | I_rel |
| --- | --- |
| 6.361 | 52 |
| 4.437 | 100 |
| 3.938 | 66 |
| 3.402 | 49 |
| 3.286 | 63 |
| 3.238 | 87 |
| 3.158 | 48 |
| 2.833 | 42 |
| 2.819 | 72 |
| 2.588 | 51 |

a b c (Å): 5.3048 12.7217 6.9831
angles (deg): 90.00 116.88 90.00
Fractional coordinates of all 28 atoms:
Dy1 0.1380 0.0557 0.2841
Dy2 0.1380 0.4443 0.7841
Dy3 0.8620 0.5557 0.2159
Dy4 0.8620 0.9443 0.7159
W1 0.3916 0.1392 0.8464
W2 0.3916 0.3608 0.3464
W3 0.6084 0.6392 0.6536
W4 0.6084 0.8608 0.1536
O1 0.0188 0.0886 0.5638
O2 0.0188 0.4114 0.0638
O3 0.2010 0.0647 0.9724
O4 0.2010 0.4353 0.4724
O5 0.2646 0.6484 0.4224
O6 0.2646 0.8516 0.9224
O7 0.2940 0.2248 0.2927
O8 0.2940 0.2752 0.7927
O9 0.4902 0.5708 0.8434
O10 0.4902 0.9292 0.3434
O11 0.5098 0.0708 0.6566
O12 0.5098 0.4292 0.1566
O13 0.7060 0.7248 0.2073
O14 0.7060 0.7752 0.7073
O15 0.7354 0.1484 0.0776
O16 0.7354 0.3516 0.5776
O17 0.7990 0.5647 0.5276
O18 0.7990 0.9353 0.0276
O19 0.9812 0.5886 0.9362
O20 0.9812 0.9114 0.4362